Computed powder XRD pattern of Ce3Si2Ru3 for Cu Kα X-rays, from a DFT-relaxed cell (GGA-PBE, Alexandria).
Lines closer than 0.1° are merged.

Atomic structure:
```
data_Ce3Si2Ru3
_chemical_formula_sum 'Ce12 Si8 Ru12'
_space_group_name_H-M_alt 'P n m a'
_space_group_IT_number 62
_space_group_name_Hall '-P 2ac 2n'
_cell_length_a 7.4824
_cell_length_b 14.9280
_cell_length_c 5.6181
_cell_angle_alpha 90.00
_cell_angle_beta 90.00
_cell_angle_gamma 90.00
loop_
_atom_site_label
_atom_site_type_symbol
_atom_site_fract_x
_atom_site_fract_y
_atom_site_fract_z
Ce1 Ce 0.0308 0.1074 0.1442
Ce2 Ce 0.1759 0.2500 0.6098
Si1 Si 0.1130 0.6025 0.3559
Ru1 Ru 0.1773 0.7500 0.5718
Ru2 Ru 0.1789 0.0336 0.5850
```

Peak list (10 most intense, 15° ≤ 2θ ≤ 90°, sorted by position)
(2 1 1), 2θ 29.30, intensity 24; (1 4 1), 2θ 31.15, intensity 59; (2 4 0), 2θ 33.94, intensity 100; (1 0 2), 2θ 34.09, intensity 42; (1 1 2), 2θ 34.63, intensity 31; (0 6 0), 2θ 36.11, intensity 33; (2 4 1), 2θ 37.62, intensity 34; (1 3 2), 2θ 38.73, intensity 38; (3 0 1), 2θ 39.53, intensity 56; (1 4 2), 2θ 42.03, intensity 27